[1]
The following is a theoretical X-ray diffraction stick pattern of Li2B3C3. It was derived from a structure optimized by DFT (PBE), using Cu Kα (weighted mean of Kα1 and Kα2).
Intensities are scaled so that the largest is 100.

The 10 most intense peaks (10 to 90 degrees two-theta), by angle:
- 24.3°, I = 100
- 38.3°, I = 6
- 45.7°, I = 22
- 46.0°, I = 14
- 46.3°, I = 7
- 49.7°, I = 15
- 69.1°, I = 5
- 69.5°, I = 9
- 89.6°, I = 4
- 89.8°, I = 5

Structure:
Cell lengths 14.0410, 2.7187, 8.6501 Å; angles 90.00, 122.03, 90.00 degrees
Space group C2/m (No. 12)
Symmetry-distinct sites (fractional):
Li (0.1516, 0.0000, 0.4961) x4
Li (0.1569, 0.5000, 0.0075) x4
B (0.0281, 0.5000, 0.2410) x4
B (0.1378, 0.0000, 0.7579) x4
B (0.2006, 0.0000, 0.2633) x4
C (0.0301, 0.0000, 0.7666) x4
C (0.1468, 0.5000, 0.2675) x4
C (0.1935, 0.5000, 0.7539) x4


[2]
The following is a theoretical X-ray diffraction stick pattern of CeH14Cl3O7. It was derived from a structure optimized by DFT (PBE), using Cu Kα (weighted mean of Kα1 and Kα2).
Intensities are scaled so that the largest is 100.

The 10 most intense peaks (10 to 90 degrees two-theta), by angle:
- 10.1°, I = 52
- 13.1°, I = 92
- 13.3°, I = 100
- 16.7°, I = 56
- 17.2°, I = 40
- 20.5°, I = 80
- 21.9°, I = 38
- 23.1°, I = 50
- 27.6°, I = 44
- 35.5°, I = 52

Structure:
Cell lengths 7.9941, 8.0524, 9.4546 Å; angles 73.28, 74.12, 82.86 degrees
Space group P-1 (No. 2)
Symmetry-distinct sites (fractional):
Ce (0.1837, 0.2212, 0.3296) x2
H (0.0220, 0.8837, 0.8731) x2
H (0.0282, 0.1299, 0.6863) x2
H (0.0301, 0.5538, 0.1314) x2
H (0.1301, 0.6101, 0.3578) x2
H (0.1474, 0.5219, 0.7618) x2
H (0.1469, 0.9898, 0.1070) x2
H (0.1610, 0.2740, 0.6566) x2
H (0.3208, 0.5180, 0.0351) x2
H (0.3358, 0.5686, 0.3332) x2
H (0.3556, 0.3544, 0.9697) x2
H (0.4364, 0.2781, 0.5118) x2
H (0.4381, 0.8247, 0.5948) x2
H (0.4566, 0.8884, 0.8671) x2
H (0.4741, 0.9283, 0.2302) x2
Cl (0.1844, 0.8690, 0.5251) x2
Cl (0.2099, 0.7844, 0.9912) x2
Cl (0.3878, 0.3331, 0.7324) x2
O (0.0229, 0.5527, 0.7973) x2
O (0.0712, 0.2430, 0.6157) x2
O (0.0730, 0.0568, 0.1768) x2
O (0.2235, 0.5176, 0.3519) x2
O (0.3370, 0.3899, 0.0648) x2
O (0.4364, 0.0519, 0.1982) x2
O (0.4432, 0.2280, 0.4262) x2